(1)
MgGa: simulated X-ray diffraction stick pattern (CuKα), based on a PBE-relaxed structure.
Intensities are scaled so that the largest is 100.

a b c (Å): 10.6917 10.6917 5.5018
angles (deg): 90.00 90.00 90.00
Space group I4_1/a (No. 88, origin choice 2)
Asymmetric unit:
Mg 0.0737 0.3824 0.3899 (multiplicity 16)
Ga 0.1086 0.4463 0.8785 (multiplicity 16)

Principal peaks in the range 15 to 90 degrees two-theta, sorted by position:
2θ 24.67, I 89, hkl 1 2 1
2θ 34.70, I 27, hkl 1 1 2
2θ 37.62, I 72, hkl 2 4 0
2θ 42.36, I 100, hkl 3 1 2
2θ 45.51, I 54, hkl 4 3 1
2θ 71.15, I 25, hkl 1 7 2


(2)
MgGa: simulated X-ray diffraction stick pattern (CuKα), based on a PBE-relaxed structure.
Intensities are scaled so that the largest is 100.

a b c (Å): 4.7466 3.3481 4.9044
angles (deg): 90.00 90.00 90.00
Space group Pmma (No. 51)
Asymmetric unit:
Mg 0.2500 0.0000 0.1977 (multiplicity 2)
Ga 0.2500 0.5000 0.6863 (multiplicity 2)

Principal peaks in the range 15 to 90 degrees two-theta, sorted by position:
2θ 26.13, I 29, hkl 1 0 1
2θ 26.62, I 17, hkl 0 1 0
2θ 36.65, I 16, hkl 0 0 2
2θ 37.65, I 100, hkl 1 1 1
2θ 37.91, I 28, hkl 2 0 0
2θ 41.45, I 21, hkl 1 0 2


(3)
MgGa: simulated X-ray diffraction stick pattern (CuKα), based on a PBE-relaxed structure.
Intensities are scaled so that the largest is 100.

a b c (Å): 9.2133 5.2635 5.6295
angles (deg): 90.00 120.20 90.00
Space group C2 (No. 5)
Asymmetric unit:
Mg 0.0000 0.0000 0.0000 (multiplicity 2)
Mg 0.1650 0.6562 0.5024 (multiplicity 4)
Ga 0.0000 0.1548 0.5000 (multiplicity 2)
Ga 0.1643 0.4936 0.9970 (multiplicity 4)

Principal peaks in the range 15 to 90 degrees two-theta, sorted by position:
2θ 23.22, I 34, hkl 1 1 -1
2θ 33.82, I 45, hkl 3 1 -1
2θ 36.95, I 73, hkl 0 0 2
2θ 37.97, I 100, hkl 3 1 0
2θ 38.91, I 88, hkl 0 2 1
2θ 39.40, I 96, hkl 3 1 -2